# 1
For Ac3Zn9Cu2, DFT lattice parameters and positions (GGA-PBE) gives the computed powder diffraction line list in this record (CuKα).
Neutral-atom scattering factors, no anomalous dispersion.

Structural model:
a b c (Å): 8.493 8.493 8.493
angles (deg): 148.67 112.80 76.01
Atoms (fractional coordinates):
Ac 0.000 0.000 0.000
Ac 0.304 0.304 0.000
Ac 0.696 0.696 0.000
Zn 0.015 0.660 0.355
Zn 0.157 0.873 0.284
Zn 0.305 0.660 0.645
Zn 0.411 0.127 0.284
Zn 0.500 0.000 0.500
Zn 0.589 0.873 0.716
Zn 0.695 0.340 0.355
Zn 0.843 0.127 0.716
Zn 0.985 0.340 0.645
Cu 0.294 0.500 0.794
Cu 0.706 0.500 0.206

Most intense lines, 10 to 90 degrees two-theta, sorted by position:
2θ = 21.56°, 4.122 Å, rel. 28; 2θ = 22.06°, 4.030 Å, rel. 22; 2θ = 27.91°, 3.197 Å, rel. 39; 2θ = 32.86°, 2.726 Å, rel. 22; 2θ = 33.91°, 2.644 Å, rel. 100; 2θ = 34.53°, 2.598 Å, rel. 24; 2θ = 34.67°, 2.587 Å, rel. 49; 2θ = 35.00°, 2.564 Å, rel. 32; 2θ = 37.26°, 2.413 Å, rel. 16; 2θ = 39.29°, 2.293 Å, rel. 43; 2θ = 53.62°, 1.709 Å, rel. 19; 2θ = 67.80°, 1.382 Å, rel. 20

=====

# 2
For Ac2Zn3Cu4, DFT lattice parameters and positions (GGA-PBE) gives the computed powder diffraction line list in this record (CuKα).
Neutral-atom scattering factors, no anomalous dispersion.

Structural model:
a b c (Å): 8.490 7.341 5.614
angles (deg): 80.70 58.57 40.73
Atoms (fractional coordinates):
Ac 0.145 0.145 0.855
Ac 0.855 0.855 0.145
Zn 0.000 0.000 0.500
Zn 0.500 0.500 0.000
Zn 0.500 0.500 0.500
Cu 0.138 0.531 0.469
Cu 0.469 0.862 0.138
Cu 0.531 0.138 0.862
Cu 0.862 0.469 0.531

Most intense lines, 10 to 90 degrees two-theta, sorted by position:
2θ = 20.43°, 4.348 Å, rel. 21; 2θ = 27.53°, 3.240 Å, rel. 66; 2θ = 31.62°, 2.829 Å, rel. 19; 2θ = 32.70°, 2.738 Å, rel. 29; 2θ = 34.77°, 2.580 Å, rel. 26; 2θ = 36.03°, 2.493 Å, rel. 29; 2θ = 37.71°, 2.386 Å, rel. 100; 2θ = 39.33°, 2.291 Å, rel. 45; 2θ = 43.88°, 2.063 Å, rel. 24; 2θ = 57.35°, 1.607 Å, rel. 15; 2θ = 58.02°, 1.590 Å, rel. 23; 2θ = 64.27°, 1.449 Å, rel. 21

=====

# 3
For Ac2ZnCu5, DFT lattice parameters and positions (GGA-PBE) gives the computed powder diffraction line list in this record (CuKα).
Neutral-atom scattering factors, no anomalous dispersion.

Structural model:
a b c (Å): 6.367 6.367 6.367
angles (deg): 122.16 122.16 86.30
Atoms (fractional coordinates):
Ac 0.000 0.500 0.500
Ac 0.500 0.000 0.500
Zn 0.298 0.298 0.000
Cu 0.546 0.546 0.582
Cu 0.546 0.964 0.000
Cu 0.577 0.577 0.000
Cu 0.964 0.546 0.000
Cu 0.964 0.964 0.418

Most intense lines, 10 to 90 degrees two-theta, sorted by position:
2θ = 20.39°, 4.355 Å, rel. 33; 2θ = 28.09°, 3.177 Å, rel. 91; 2θ = 29.00°, 3.079 Å, rel. 21; 2θ = 34.96°, 2.567 Å, rel. 100; 2θ = 38.77°, 2.323 Å, rel. 23; 2θ = 41.47°, 2.177 Å, rel. 44; 2θ = 44.19°, 2.049 Å, rel. 24; 2θ = 50.84°, 1.796 Å, rel. 27; 2θ = 58.06°, 1.589 Å, rel. 23; 2θ = 62.21°, 1.492 Å, rel. 22; 2θ = 67.73°, 1.383 Å, rel. 13; 2θ = 71.45°, 1.320 Å, rel. 17

=====

# 4
For Ac2Zn3Cu, DFT lattice parameters and positions (GGA-PBE) gives the computed powder diffraction line list in this record (CuKα).
Neutral-atom scattering factors, no anomalous dispersion.

Structural model:
a b c (Å): 3.928 4.643 8.108
angles (deg): 90.00 90.00 90.00
Atoms (fractional coordinates):
Ac 0.000 0.000 0.000
Ac 0.000 0.500 0.483
Zn 0.500 0.000 0.658
Zn 0.500 0.500 0.159
Zn 0.500 0.500 0.822
Cu 0.500 0.000 0.327

Most intense lines, 10 to 90 degrees two-theta, sorted by position:
2θ = 21.93°, 4.054 Å, rel. 10; 2θ = 22.06°, 4.029 Å, rel. 21; 2θ = 31.78°, 2.815 Å, rel. 100; 2θ = 38.55°, 2.336 Å, rel. 30; 2θ = 38.79°, 2.321 Å, rel. 15; 2θ = 46.22°, 1.964 Å, rel. 9; 2θ = 50.68°, 1.801 Å, rel. 9; 2θ = 50.95°, 1.793 Å, rel. 18; 2θ = 61.70°, 1.503 Å, rel. 15; 2θ = 65.43°, 1.426 Å, rel. 8; 2θ = 65.88°, 1.418 Å, rel. 8; 2θ = 76.48°, 1.246 Å, rel. 8

=====

# 5
For Ac2Zn5Cu3, DFT lattice parameters and positions (GGA-PBE) gives the computed powder diffraction line list in this record (CuKα).
Neutral-atom scattering factors, no anomalous dispersion.

Structural model:
a b c (Å): 4.328 4.328 10.718
angles (deg): 90.00 90.00 90.00
Atoms (fractional coordinates):
Ac 0.000 0.500 0.238
Ac 0.500 0.000 0.762
Zn 0.000 0.000 0.500
Zn 0.000 0.500 0.637
Zn 0.500 0.000 0.363
Zn 0.500 0.500 0.000
Zn 0.500 0.500 0.500
Cu 0.000 0.000 0.000
Cu 0.000 0.500 0.877
Cu 0.500 0.000 0.123

Most intense lines, 10 to 90 degrees two-theta, sorted by position:
2θ = 22.15°, 4.013 Å, rel. 28; 2θ = 29.18°, 3.060 Å, rel. 26; 2θ = 32.50°, 2.755 Å, rel. 75; 2θ = 33.73°, 2.658 Å, rel. 100; 2θ = 41.74°, 2.164 Å, rel. 52; 2θ = 47.32°, 1.921 Å, rel. 29; 2θ = 53.87°, 1.702 Å, rel. 36; 2θ = 59.96°, 1.543 Å, rel. 14; 2θ = 60.50°, 1.530 Å, rel. 17; 2θ = 64.91°, 1.437 Å, rel. 22; 2θ = 71.09°, 1.326 Å, rel. 23; 2θ = 85.18°, 1.139 Å, rel. 10

=====

# 6
For Ac3Zn3Cu2, DFT lattice parameters and positions (GGA-PBE) gives the computed powder diffraction line list in this record (CuKα).
Neutral-atom scattering factors, no anomalous dispersion.

Structural model:
a b c (Å): 6.086 6.086 16.265
angles (deg): 90.00 90.00 136.56
Atoms (fractional coordinates):
Ac 0.104 0.896 0.750
Ac 0.375 0.625 0.594
Ac 0.375 0.625 0.906
Ac 0.625 0.375 0.094
Ac 0.625 0.375 0.406
Ac 0.896 0.104 0.250
Zn 0.091 0.909 0.552
Zn 0.091 0.909 0.948
Zn 0.189 0.811 0.250
Zn 0.811 0.189 0.750
Zn 0.909 0.091 0.052
Zn 0.909 0.091 0.448
Cu 0.329 0.671 0.111
Cu 0.329 0.671 0.389
Cu 0.671 0.329 0.611
Cu 0.671 0.329 0.889

Most intense lines, 10 to 90 degrees two-theta, sorted by position:
2θ = 21.92°, 4.054 Å, rel. 32; 2θ = 22.72°, 3.913 Å, rel. 57; 2θ = 23.91°, 3.721 Å, rel. 38; 2θ = 30.66°, 2.916 Å, rel. 100; 2θ = 31.43°, 2.846 Å, rel. 74; 2θ = 31.66°, 2.826 Å, rel. 57; 2θ = 33.04°, 2.711 Å, rel. 52; 2θ = 38.20°, 2.356 Å, rel. 54; 2θ = 40.03°, 2.252 Å, rel. 47; 2θ = 41.80°, 2.161 Å, rel. 30; 2θ = 51.91°, 1.761 Å, rel. 29; 2θ = 61.17°, 1.515 Å, rel. 41

=====

# 7
For Ac3ZnCu3, DFT lattice parameters and positions (GGA-PBE) gives the computed powder diffraction line list in this record (CuKα).
Neutral-atom scattering factors, no anomalous dispersion.

Structural model:
a b c (Å): 5.997 5.997 14.373
angles (deg): 90.00 90.00 136.44
Atoms (fractional coordinates):
Ac 0.000 0.000 0.250
Ac 0.000 0.000 0.750
Ac 0.283 0.717 0.603
Ac 0.283 0.717 0.897
Ac 0.717 0.283 0.103
Ac 0.717 0.283 0.397
Zn 0.000 0.000 0.000
Zn 0.000 0.000 0.500
Cu 0.302 0.698 0.250
Cu 0.432 0.568 0.087
Cu 0.432 0.568 0.413
Cu 0.568 0.432 0.587
Cu 0.568 0.432 0.913
Cu 0.698 0.302 0.750

Most intense lines, 10 to 90 degrees two-theta, sorted by position:
2θ = 24.85°, 3.583 Å, rel. 38; 2θ = 28.53°, 3.129 Å, rel. 100; 2θ = 29.59°, 3.019 Å, rel. 75; 2θ = 31.38°, 2.851 Å, rel. 74; 2θ = 32.15°, 2.784 Å, rel. 38; 2θ = 33.04°, 2.711 Å, rel. 72; 2θ = 36.68°, 2.450 Å, rel. 79; 2θ = 37.35°, 2.407 Å, rel. 38; 2θ = 37.55°, 2.396 Å, rel. 34; 2θ = 40.55°, 2.225 Å, rel. 52; 2θ = 50.99°, 1.791 Å, rel. 35; 2θ = 52.53°, 1.742 Å, rel. 29

=====

# 8
For Ac2Zn2Cu, DFT lattice parameters and positions (GGA-PBE) gives the computed powder diffraction line list in this record (CuKα).
Neutral-atom scattering factors, no anomalous dispersion.

Structural model:
a b c (Å): 4.663 6.004 10.548
angles (deg): 84.99 77.23 67.39
Atoms (fractional coordinates):
Ac 0.092 0.204 0.111
Ac 0.306 0.239 0.650
Ac 0.694 0.761 0.350
Ac 0.908 0.796 0.889
Zn 0.059 0.807 0.577
Zn 0.385 0.615 0.117
Zn 0.615 0.385 0.883
Zn 0.941 0.193 0.423
Cu 0.411 0.346 0.332
Cu 0.589 0.654 0.668

Most intense lines, 10 to 90 degrees two-theta, sorted by position:
2θ = 21.12°, 4.207 Å, rel. 22; 2θ = 23.61°, 3.769 Å, rel. 45; 2θ = 24.45°, 3.641 Å, rel. 36; 2θ = 30.06°, 2.973 Å, rel. 100; 2θ = 31.12°, 2.874 Å, rel. 38; 2θ = 31.25°, 2.862 Å, rel. 38; 2θ = 32.30°, 2.771 Å, rel. 32; 2θ = 34.89°, 2.572 Å, rel. 31; 2θ = 37.97°, 2.370 Å, rel. 21; 2θ = 38.08°, 2.363 Å, rel. 21; 2θ = 38.62°, 2.332 Å, rel. 40; 2θ = 53.01°, 1.727 Å, rel. 19

=====

# 9
For Ac3Zn4Cu4, DFT lattice parameters and positions (GGA-PBE) gives the computed powder diffraction line list in this record (CuKα).
Neutral-atom scattering factors, no anomalous dispersion.

Structural model:
a b c (Å): 4.177 4.356 13.706
angles (deg): 99.03 98.75 90.14
Atoms (fractional coordinates):
Ac 0.000 0.000 0.000
Ac 0.150 0.649 0.301
Ac 0.850 0.351 0.699
Zn 0.250 0.252 0.501
Zn 0.402 0.903 0.802
Zn 0.598 0.097 0.198
Zn 0.750 0.748 0.499
Cu 0.305 0.806 0.608
Cu 0.452 0.453 0.904
Cu 0.548 0.547 0.096
Cu 0.695 0.194 0.392

Most intense lines, 10 to 90 degrees two-theta, sorted by position:
2θ = 19.92°, 4.458 Å, rel. 14; 2θ = 22.72°, 3.914 Å, rel. 26; 2θ = 30.39°, 2.941 Å, rel. 26; 2θ = 31.74°, 2.819 Å, rel. 55; 2θ = 32.58°, 2.749 Å, rel. 100; 2θ = 36.60°, 2.455 Å, rel. 28; 2θ = 41.46°, 2.178 Å, rel. 27; 2θ = 42.58°, 2.123 Å, rel. 21; 2θ = 43.33°, 2.088 Å, rel. 24; 2θ = 49.38°, 1.845 Å, rel. 21; 2θ = 53.11°, 1.724 Å, rel. 19; 2θ = 57.96°, 1.591 Å, rel. 11

=====

# 10
For Ac2Zn6Cu9, DFT lattice parameters and positions (GGA-PBE) gives the computed powder diffraction line list in this record (CuKα).
Neutral-atom scattering factors, no anomalous dispersion.

Structural model:
a b c (Å): 5.394 5.394 12.156
angles (deg): 90.00 90.00 120.00
Atoms (fractional coordinates):
Ac 0.000 0.000 0.185
Ac 0.000 0.000 0.815
Zn 0.333 0.667 0.165
Zn 0.333 0.667 0.500
Zn 0.333 0.667 0.835
Zn 0.667 0.333 0.165
Zn 0.667 0.333 0.500
Zn 0.667 0.333 0.835
Cu 0.000 0.500 0.000
Cu 0.000 0.500 0.337
Cu 0.000 0.500 0.663
Cu 0.500 0.000 0.000
Cu 0.500 0.000 0.337
Cu 0.500 0.000 0.663
Cu 0.500 0.500 0.000
Cu 0.500 0.500 0.337
Cu 0.500 0.500 0.663

Most intense lines, 10 to 90 degrees two-theta, sorted by position:
2θ = 20.37°, 4.360 Å, rel. 16; 2θ = 24.03°, 3.704 Å, rel. 33; 2θ = 29.18°, 3.061 Å, rel. 35; 2θ = 33.22°, 2.697 Å, rel. 33; 2θ = 38.55°, 2.336 Å, rel. 37; 2θ = 40.17°, 2.245 Å, rel. 100; 2θ = 44.75°, 2.025 Å, rel. 32; 2θ = 56.86°, 1.619 Å, rel. 21; 2θ = 60.49°, 1.530 Å, rel. 14; 2θ = 64.06°, 1.453 Å, rel. 24; 2θ = 69.74°, 1.348 Å, rel. 18; 2θ = 86.75°, 1.123 Å, rel. 18

=====

# 11
For AcZn3Cu3, DFT lattice parameters and positions (GGA-PBE) gives the computed powder diffraction line list in this record (CuKα).
Neutral-atom scattering factors, no anomalous dispersion.

Structural model:
a b c (Å): 8.511 4.123 8.527
angles (deg): 90.00 119.83 90.00
Atoms (fractional coordinates):
Ac 0.166 0.250 0.332
Ac 0.834 0.750 0.668
Zn 0.237 0.250 0.959
Zn 0.276 0.750 0.736
Zn 0.461 0.750 0.225
Zn 0.539 0.250 0.775
Zn 0.724 0.250 0.264
Zn 0.763 0.750 0.041
Cu 0.069 0.250 0.614
Cu 0.115 0.750 0.045
Cu 0.454 0.750 0.568
Cu 0.546 0.250 0.432
Cu 0.885 0.250 0.955
Cu 0.931 0.750 0.386

Most intense lines, 10 to 90 degrees two-theta, sorted by position:
2θ = 11.99°, 7.383 Å, rel. 44; 2θ = 24.73°, 3.599 Å, rel. 47; 2θ = 32.04°, 2.793 Å, rel. 32; 2θ = 32.56°, 2.750 Å, rel. 100; 2θ = 36.48°, 2.463 Å, rel. 32; 2θ = 38.95°, 2.313 Å, rel. 98; 2θ = 39.03°, 2.308 Å, rel. 48; 2θ = 43.93°, 2.061 Å, rel. 38; 2θ = 55.42°, 1.658 Å, rel. 20; 2θ = 58.40°, 1.580 Å, rel. 25; 2θ = 59.01°, 1.565 Å, rel. 19; 2θ = 77.41°, 1.233 Å, rel. 19

=====

# 12
For AcZn2Cu, DFT lattice parameters and positions (GGA-PBE) gives the computed powder diffraction line list in this record (CuKα).
Neutral-atom scattering factors, no anomalous dispersion.

Structural model:
a b c (Å): 9.784 9.784 9.784
angles (deg): 152.94 124.04 63.24
Atoms (fractional coordinates):
Ac 0.209 0.209 0.000
Ac 0.260 0.000 0.260
Ac 0.740 0.000 0.740
Ac 0.791 0.791 0.000
Zn 0.074 0.574 0.500
Zn 0.172 0.816 0.356
Zn 0.412 0.412 0.000
Zn 0.460 0.816 0.644
Zn 0.540 0.184 0.356
Zn 0.588 0.588 0.000
Zn 0.828 0.184 0.644
Zn 0.926 0.426 0.500
Cu 0.088 0.348 0.740
Cu 0.392 0.652 0.740
Cu 0.608 0.348 0.260
Cu 0.912 0.652 0.260

Most intense lines, 10 to 90 degrees two-theta, sorted by position:
2θ = 22.11°, 4.020 Å, rel. 38; 2θ = 24.21°, 3.676 Å, rel. 21; 2θ = 28.04°, 3.182 Å, rel. 30; 2θ = 31.97°, 2.800 Å, rel. 100; 2θ = 33.25°, 2.694 Å, rel. 87; 2θ = 35.28°, 2.544 Å, rel. 30; 2θ = 36.94°, 2.433 Å, rel. 20; 2θ = 37.86°, 2.376 Å, rel. 36; 2θ = 39.25°, 2.295 Å, rel. 22; 2θ = 39.36°, 2.289 Å, rel. 47; 2θ = 52.37°, 1.747 Å, rel. 20; 2θ = 55.76°, 1.648 Å, rel. 23